Theoretical powder diffraction line list
Compound: RbInS2
Radiation: Cu Kα (λ = 1.5418 Å)
Structure: a cell relaxed with PBE

Peak list (10 most intense, 10 to 80 degrees two-theta, most intense first)
- 30.1 deg, 2.973 Å, I = 100, (2 2 3)
- 22.5 deg, 3.957 Å, I = 38, (2 2 -1)
- 45.5 deg, 1.994 Å, I = 36, (4 4 -1)
- 55.5 deg, 1.656 Å, I = 34, (2 6 -4)
- 25.0 deg, 3.562 Å, I = 33, (1 3 0)
- 23.9 deg, 3.724 Å, I = 33, (2 2 -2)
- 31.2 deg, 2.864 Å, I = 25, (3 1 -4)
- 22.8 deg, 3.901 Å, I = 25, (0 0 4)
- 43.2 deg, 2.093 Å, I = 23, (4 0 -6)
- 52.3 deg, 1.749 Å, I = 23, (4 0 -8)

Structure:
Cell: 11.282 11.282 15.857 Å, 90.00 100.24 90.00°
Space group C2/c (No. 15)
One atom of each set of equivalent atoms:
1 Rb 0.034 0.187 0.388 (multiplicity 8)
2 Rb 0.216 0.438 0.113 (multiplicity 8)
3 In 0.101 0.189 0.660 (multiplicity 8)
4 In 0.146 0.436 0.840 (multiplicity 8)
5 S 0.000 0.055 0.750 (multiplicity 4)
6 S 0.000 0.429 0.250 (multiplicity 4)
7 S 0.047 0.312 0.937 (multiplicity 8)
8 S 0.203 0.062 0.565 (multiplicity 8)
9 S 0.242 0.187 0.250 (multiplicity 8)

---

Theoretical powder diffraction line list
Compound: RbIn3S5
Radiation: Cu Kα (λ = 1.5418 Å)
Structure: a cell relaxed with PBE

Peak list (10 most intense, 10 to 80 degrees two-theta, most intense first)
- 33.0 deg, 2.712 Å, I = 100, (3 1 -3)
- 27.9 deg, 3.194 Å, I = 95, (2 1 -2)
- 23.0 deg, 3.873 Å, I = 84, (3 0 0)
- 22.8 deg, 3.901 Å, I = 73, (1 0 -4)
- 47.4 deg, 1.917 Å, I = 57, (0 2 0)
- 34.0 deg, 2.636 Å, I = 49, (2 0 4)
- 48.0 deg, 1.895 Å, I = 48, (1 1 -7)
- 28.9 deg, 3.090 Å, I = 46, (1 1 -3)
- 11.5 deg, 7.697 Å, I = 37, (1 0 1)
- 48.3 deg, 1.885 Å, I = 35, (5 1 1)

Structure:
Cell: 12.622 3.833 15.665 Å, 90.00 113.00 90.00°
Space group P2/m (No. 10)
One atom of each set of equivalent atoms:
1 Rb 0.000 0.000 0.000 (multiplicity 1)
2 Rb 0.363 0.500 0.576 (multiplicity 2)
3 In 0.000 0.500 0.500 (multiplicity 1)
4 In 0.009 0.000 0.709 (multiplicity 2)
5 In 0.283 0.500 0.273 (multiplicity 2)
6 In 0.321 0.500 0.837 (multiplicity 2)
7 In 0.387 0.000 0.071 (multiplicity 2)
8 S 0.066 0.500 0.214 (multiplicity 2)
9 S 0.121 0.000 0.463 (multiplicity 2)
10 S 0.135 0.500 0.682 (multiplicity 2)
11 S 0.230 0.000 0.902 (multiplicity 2)
12 S 0.273 0.500 0.109 (multiplicity 2)
13 S 0.379 0.000 0.373 (multiplicity 2)
14 S 0.426 0.000 0.783 (multiplicity 2)
15 S 0.500 0.500 0.000 (multiplicity 1)

---

Theoretical powder diffraction line list
Compound: Rb2InSiS4
Radiation: Cu Kα (λ = 1.5418 Å)
Structure: a cell relaxed with PBE

Peak list (10 most intense, 10 to 80 degrees two-theta, most intense first)
- 26.6 deg, 3.348 Å, I = 100, (1 1 2)
- 43.4 deg, 2.087 Å, I = 50, (3 1 2)
- 23.6 deg, 3.775 Å, I = 39, (2 0 0)
- 33.6 deg, 2.670 Å, I = 29, (2 2 0)
- 48.8 deg, 1.867 Å, I = 24, (2 0 4)
- 28.4 deg, 3.143 Å, I = 19, (2 1 1)
- 54.3 deg, 1.689 Å, I = 19, (2 4 0)
- 66.8 deg, 1.400 Å, I = 13, (1 5 2)
- 54.8 deg, 1.674 Å, I = 11, (2 2 4)
- 55.9 deg, 1.644 Å, I = 11, (3 3 2)

Structure:
Cell: 7.551 7.551 8.594 Å, 90.00 90.00 90.00°
Space group I-4 (No. 82)
One atom of each set of equivalent atoms:
1 Rb 0.000 0.000 0.000 (multiplicity 2)
2 Rb 0.000 0.500 0.250 (multiplicity 2)
3 In 0.000 0.500 0.750 (multiplicity 2)
4 Si 0.000 0.000 0.500 (multiplicity 2)
5 S 0.142 0.195 0.634 (multiplicity 8)

---

Theoretical powder diffraction line list
Compound: Rb2InSnS4
Radiation: Cu Kα (λ = 1.5418 Å)
Structure: a cell relaxed with PBE

Peak list (10 most intense, 10 to 80 degrees two-theta, most intense first)
- 25.3 deg, 3.523 Å, I = 100, (1 1 2)
- 42.5 deg, 2.126 Å, I = 46, (1 3 2)
- 23.6 deg, 3.769 Å, I = 30, (2 0 0)
- 33.6 deg, 2.665 Å, I = 29, (2 2 0)
- 45.5 deg, 1.993 Å, I = 28, (2 0 4)
- 15.1 deg, 5.879 Å, I = 12, (1 0 1)
- 66.3 deg, 1.410 Å, I = 12, (5 1 2)
- 54.4 deg, 1.686 Å, I = 11, (4 2 0)
- 68.5 deg, 1.369 Å, I = 11, (2 4 4)
- 55.3 deg, 1.662 Å, I = 10, (3 3 2)

Structure:
Cell: 7.538 7.538 9.391 Å, 90.00 90.00 90.00°
Space group I-4 (No. 82)
One atom of each set of equivalent atoms:
1 Rb 0.000 0.000 0.000 (multiplicity 2)
2 Rb 0.000 0.500 0.250 (multiplicity 2)
3 In 0.000 0.000 0.500 (multiplicity 2)
4 Sn 0.000 0.500 0.750 (multiplicity 2)
5 S 0.165 0.758 0.626 (multiplicity 8)

---

Theoretical powder diffraction line list
Compound: RbIn2SnS6
Radiation: Cu Kα (λ = 1.5418 Å)
Structure: a cell relaxed with PBE

Peak list (10 most intense, 10 to 80 degrees two-theta, most intense first)
- 23.4 deg, 3.794 Å, I = 100, (3 1 0)
- 23.3 deg, 3.820 Å, I = 82, (1 1 -2)
- 18.7 deg, 4.751 Å, I = 77, (0 2 1)
- 22.0 deg, 4.035 Å, I = 72, (1 3 0)
- 12.7 deg, 6.965 Å, I = 67, (1 1 -1)
- 30.5 deg, 2.927 Å, I = 60, (0 4 1)
- 27.1 deg, 3.290 Å, I = 58, (4 0 -2)
- 35.8 deg, 2.506 Å, I = 52, (2 0 2)
- 31.3 deg, 2.855 Å, I = 48, (3 3 -2)
- 20.3 deg, 4.371 Å, I = 47, (2 2 0)

Structure:
Cell: 14.043 12.866 8.306 Å, 90.00 121.97 90.00°
Space group C2/c (No. 15)
One atom of each set of equivalent atoms:
1 Rb 0.000 0.179 0.250 (multiplicity 4)
2 In 0.183 0.425 0.068 (multiplicity 8)
3 Sn 0.000 0.157 0.750 (multiplicity 4)
4 S 0.109 0.451 0.301 (multiplicity 8)
5 S 0.116 0.048 0.680 (multiplicity 8)
6 S 0.135 0.238 0.047 (multiplicity 8)

---

Theoretical powder diffraction line list
Compound: RbIn3Sb3
Radiation: Cu Kα (λ = 1.5418 Å)
Structure: a cell relaxed with PBE

Peak list (10 most intense, 10 to 80 degrees two-theta, most intense first)
- 28.4 deg, 3.147 Å, I = 100, (3 0 0)
- 25.1 deg, 3.551 Å, I = 86, (2 0 1)
- 41.8 deg, 2.162 Å, I = 72, (4 0 1)
- 30.0 deg, 2.975 Å, I = 71, (2 1 1)
- 16.3 deg, 5.451 Å, I = 64, (1 1 0)
- 44.3 deg, 2.047 Å, I = 59, (3 0 2)
- 33.2 deg, 2.695 Å, I = 58, (0 0 2)
- 45.1 deg, 2.010 Å, I = 49, (3 2 1)
- 38.2 deg, 2.358 Å, I = 45, (4 0 0)
- 56.9 deg, 1.617 Å, I = 30, (5 1 1)

Structure:
Cell: 10.9011 10.9011 5.3893 Å, 90.00 90.00 120.00°
Space group P6_3/m (No. 176)
One atom of each set of equivalent atoms:
1 Rb 0.3333 0.6667 0.2500 (multiplicity 2)
2 In 0.0613 0.3952 0.7500 (multiplicity 6)
3 Sb 0.0690 0.6719 0.7500 (multiplicity 6)

---

Theoretical powder diffraction line list
Compound: Rb3InSb
Radiation: Cu Kα (λ = 1.5418 Å)
Structure: a cell relaxed with PBE

Peak list (10 most intense, 10 to 80 degrees two-theta, most intense first)
- 24.2 deg, 3.684 Å, I = 100, (2 2 0)
- 30.4 deg, 2.945 Å, I = 43, (4 0 0)
- 28.0 deg, 3.191 Å, I = 36, (0 1 3)
- 31.9 deg, 2.805 Å, I = 36, (2 1 3)
- 23.1 deg, 3.848 Å, I = 30, (2 0 2)
- 15.1 deg, 5.886 Å, I = 28, (2 0 0)
- 24.6 deg, 3.624 Å, I = 25, (3 1 0)
- 25.7 deg, 3.461 Å, I = 25, (0 2 2)
- 29.4 deg, 3.042 Å, I = 23, (1 3 0)
- 41.8 deg, 2.163 Å, I = 22, (4 1 3)

Structure:
Cell: 11.772 9.446 10.170 Å, 90.00 90.00 90.00°
Space group Ima2 (No. 46)
One atom of each set of equivalent atoms:
1 Rb 0.038 0.224 0.000 (multiplicity 8)
2 Rb 0.250 0.575 0.202 (multiplicity 4)
3 In 0.250 0.504 0.824 (multiplicity 4)
4 Sb 0.250 0.565 0.556 (multiplicity 4)

---

Theoretical powder diffraction line list
Compound: Rb5In2Sb4
Radiation: Cu Kα (λ = 1.5418 Å)
Structure: a cell relaxed with PBE

Peak list (10 most intense, 10 to 80 degrees two-theta, most intense first)
- 27.1 deg, 3.290 Å, I = 100, (3 1 -2)
- 11.7 deg, 7.542 Å, I = 79, (2 0 -1)
- 31.7 deg, 2.819 Å, I = 62, (0 2 0)
- 32.9 deg, 2.725 Å, I = 41, (7 1 0)
- 24.5 deg, 3.631 Å, I = 38, (6 0 0)
- 10.6 deg, 8.308 Å, I = 34, (0 0 1)
- 20.0 deg, 4.441 Å, I = 31, (1 1 1)
- 31.6 deg, 2.836 Å, I = 29, (3 1 2)
- 53.8 deg, 1.704 Å, I = 28, (3 3 -2)
- 39.5 deg, 2.279 Å, I = 27, (9 1 -1)

Structure:
Cell: 22.450 5.639 8.561 Å, 90.00 103.96 90.00°
Space group C2/m (No. 12)
One atom of each set of equivalent atoms:
1 Rb 0.000 0.000 0.000 (multiplicity 2)
2 Rb 0.169 0.500 0.451 (multiplicity 4)
3 Rb 0.170 0.500 0.953 (multiplicity 4)
4 In 0.064 0.000 0.631 (multiplicity 4)
5 Sb 0.006 0.500 0.671 (multiplicity 4)
6 Sb 0.191 0.000 0.717 (multiplicity 4)

---

Theoretical powder diffraction line list
Compound: RbInSb2
Radiation: Cu Kα (λ = 1.5418 Å)
Structure: a cell relaxed with PBE

Peak list (10 most intense, 10 to 80 degrees two-theta, most intense first)
- 23.2 deg, 3.841 Å, I = 100, (1 1 2)
- 15.7 deg, 5.647 Å, I = 60, (1 0 1)
- 35.4 deg, 2.533 Å, I = 44, (2 0 4)
- 34.6 deg, 2.591 Å, I = 35, (1 1 6)
- 41.1 deg, 2.197 Å, I = 30, (2 1 5)
- 36.7 deg, 2.448 Å, I = 27, (2 1 3)
- 36.2 deg, 2.482 Å, I = 26, (0 0 8)
- 34.3 deg, 2.612 Å, I = 23, (2 1 1)
- 31.7 deg, 2.824 Å, I = 20, (2 0 2)
- 47.3 deg, 1.921 Å, I = 20, (2 2 4)

Structure:
Cell: 5.891 5.891 19.858 Å, 90.00 90.00 90.00°
Space group I-42d (No. 122)
One atom of each set of equivalent atoms:
1 Rb 0.000 0.000 0.000 (multiplicity 4)
2 In 0.000 0.000 0.500 (multiplicity 4)
3 Sb 0.097 0.250 0.625 (multiplicity 8)

---

Theoretical powder diffraction line list
Compound: Rb2ZnInSb2
Radiation: Cu Kα (λ = 1.5418 Å)
Structure: a cell relaxed with PBE

Peak list (10 most intense, 10 to 80 degrees two-theta, most intense first)
- 33.1 deg, 2.708 Å, I = 100, (0 4 2)
- 27.9 deg, 3.200 Å, I = 90, (1 4 1)
- 35.3 deg, 2.543 Å, I = 79, (2 0 2)
- 10.7 deg, 8.233 Å, I = 73, (0 2 0)
- 45.6 deg, 1.991 Å, I = 44, (1 4 3)
- 27.1 deg, 3.295 Å, I = 30, (2 2 0)
- 61.9 deg, 1.498 Å, I = 30, (2 4 4)
- 24.8 deg, 3.596 Å, I = 28, (0 0 2)
- 47.7 deg, 1.908 Å, I = 28, (1 8 1)
- 60.7 deg, 1.526 Å, I = 25, (1 8 3)

Structure:
Cell: 7.183 16.466 7.202 Å, 90.00 90.00 90.00°
Space group Ibam (No. 72)
One atom of each set of equivalent atoms:
1 Rb 0.247 0.168 0.000 (multiplicity 8)
2 Zn 0.000 0.500 0.250 (multiplicity 4)
3 In 0.000 0.000 0.250 (multiplicity 4)
4 Sb 0.228 0.408 0.000 (multiplicity 8)

---

Theoretical powder diffraction line list
Compound: RbIn3Se3
Radiation: Cu Kα (λ = 1.5418 Å)
Structure: a cell relaxed with PBE

Peak list (10 most intense, 10 to 80 degrees two-theta, most intense first)
- 35.6 deg, 2.522 Å, I = 100, (3 0 0)
- 23.4 deg, 3.805 Å, I = 68, (2 -1 3)
- 30.8 deg, 2.899 Å, I = 68, (1 1 6)
- 50.6 deg, 1.805 Å, I = 59, (0 3 9)
- 20.3 deg, 4.368 Å, I = 41, (1 1 0)
- 11.4 deg, 7.753 Å, I = 34, (0 0 3)
- 34.7 deg, 2.584 Å, I = 32, (0 0 9)
- 40.6 deg, 2.224 Å, I = 21, (1 1 9)
- 47.8 deg, 1.903 Å, I = 18, (4 -2 6)
- 22.9 deg, 3.876 Å, I = 18, (0 0 6)

Structure:
Cell: 8.7355 8.7355 23.2581 Å, 90.00 90.00 120.00°
Space group R-3 (No. 148, hexagonal axes)
One atom of each set of equivalent atoms:
1 Rb 0.0000 0.0000 0.1669 (multiplicity 6)
2 In 0.0070 0.3161 0.6135 (multiplicity 18)
3 Se 0.0057 0.3560 0.4024 (multiplicity 18)

---

Theoretical powder diffraction line list
Compound: RbInSi
Radiation: Cu Kα (λ = 1.5418 Å)
Structure: a cell relaxed with PBE

Peak list (10 most intense, 10 to 80 degrees two-theta, most intense first)
- 29.7 deg, 3.010 Å, I = 100, (1 1 2)
- 31.0 deg, 2.886 Å, I = 78, (0 1 5)
- 30.9 deg, 2.897 Å, I = 49, (0 2 0)
- 28.0 deg, 3.183 Å, I = 45, (1 0 3)
- 57.1 deg, 1.613 Å, I = 42, (2 2 0)
- 42.2 deg, 2.143 Å, I = 29, (1 2 3)
- 10.6 deg, 8.318 Å, I = 27, (0 0 2)
- 55.3 deg, 1.662 Å, I = 20, (0 0 10)
- 54.2 deg, 1.694 Å, I = 18, (1 3 2)
- 52.3 deg, 1.748 Å, I = 16, (1 1 8)

Structure:
Cell: 3.888 5.795 16.637 Å, 90.00 90.00 90.00°
Space group Imma (No. 74)
One atom of each set of equivalent atoms:
1 Rb 0.000 0.250 0.144 (multiplicity 4)
2 In 0.000 0.250 0.543 (multiplicity 4)
3 Si 0.000 0.250 0.711 (multiplicity 4)